[1]
Ba2Na2US4O2: calculated powder diffractogram (Cu Ka), based on a GGA-PBE-relaxed structure.

Main lines, in order of falling intensity (10° ≤ 2θ ≤ 80°):
2θ (°)  I_rel
13.69  100.0
24.54  83.8
28.05  81.4
30.52  73.7
19.25  63.9
32.15  52.3
26.37  45.5
26.81  44.8

a = 6.4776 Å, b = 6.8084 Å, c = 6.8618 Å
α = 80.83°, β = 66.68°, γ = 72.03°
Space group P-1 (No. 2)
One atom of each set of equivalent atoms:
Ba (0.0816, 0.1902, 0.1739) x2
Na (0.3761, 0.5931, 0.2895) x2
U (0.5000, 0.0000, 0.5000) x1
S (0.1853, 0.3442, 0.6810) x2
S (0.3987, 0.8028, 0.8810) x2
O (0.2625, 0.9186, 0.4573) x2

***

[2]
Ba3NaSrSb3O12: calculated powder diffractogram (Cu Ka), based on a GGA-PBE-relaxed structure.

Main lines, in order of falling intensity (10° ≤ 2θ ≤ 80°):
2θ (°)  I_rel
30.24  100.0
43.26  38.2
53.57  24.0
53.77  23.7
30.12  20.3
62.84  15.5
71.30  14.2
14.99  11.9

a = 11.7953 Å, b = 11.8697 Å, c = 8.3645 Å
α = 90.00°, β = 90.00°, γ = 90.00°
Space group Cmme (No. 67)
One atom of each set of equivalent atoms:
Ba (0.0000, 0.0000, 0.0000) x4
Ba (0.2500, 0.2500, 0.0000) x4
Ba (0.2500, 0.2500, 0.5000) x4
Na (0.0000, 0.2500, 0.2497) x4
Sr (0.0000, 0.0000, 0.5000) x4
Sb (0.0000, 0.2500, 0.7469) x4
Sb (0.2500, 0.0000, 0.2522) x8
O (0.0000, 0.2500, 0.5186) x4
O (0.0000, 0.2500, 0.9762) x4
O (0.1241, 0.1242, 0.7455) x16
O (0.1339, 0.1128, 0.2529) x16
O (0.2500, 0.0000, 0.0000) x4
O (0.2500, 0.0000, 0.5000) x4